(1)
Structure and computed XRD peak list of Zr9ScO20 (a structure optimized by DFT (GGA-PBE); Cu Kα).

Most intense lines, 2θ = 10–90°, low angle first:
d = 3.003 Å, 2θ = 29.75°, intensity 100; d = 2.583 Å, 2θ = 34.73°, intensity 13; d = 1.845 Å, 2θ = 49.40°, intensity 37; d = 1.826 Å, 2θ = 49.94°, intensity 20; d = 1.584 Å, 2θ = 58.25°, intensity 14; d = 1.560 Å, 2θ = 59.22°, intensity 26

Atomic structure:
Lattice parameters (Å, degrees): 6.414 7.383 8.165 77.24 75.24 72.23
Atoms (fractional coordinates):
Zr 0.000 0.000 0.000
Zr 0.002 0.498 0.994
Zr 0.203 0.800 0.601
Zr 0.401 0.100 0.208
Zr 0.403 0.598 0.202
Zr 0.595 0.905 0.800
Zr 0.602 0.399 0.798
Zr 0.803 0.199 0.403
Zr 0.812 0.694 0.401
Sc 0.203 0.300 0.601
O 0.017 0.176 0.163
O 0.088 0.722 0.140
O 0.127 0.576 0.461
O 0.182 0.120 0.444
O 0.226 0.968 0.768
O 0.281 0.527 0.747
O 0.314 0.376 0.064
O 0.388 0.921 0.043
O 0.419 0.778 0.362
O 0.493 0.317 0.331
O 0.521 0.181 0.660
O 0.587 0.722 0.638
O 0.617 0.575 0.961
O 0.683 0.123 0.939
O 0.721 0.973 0.261
O 0.785 0.524 0.236
O 0.813 0.386 0.556
O 0.885 0.920 0.540
O 0.913 0.780 0.864
O 0.985 0.318 0.838



(2)
Structure and computed XRD peak list of RbAsH2IrSe (a structure optimized by DFT (GGA-PBE); Cu Kα).

Most intense lines, 2θ = 10–90°, low angle first:
d = 6.572 Å, 2θ = 13.47°, intensity 100; d = 3.673 Å, 2θ = 24.23°, intensity 49; d = 3.286 Å, 2θ = 27.14°, intensity 40; d = 2.931 Å, 2θ = 30.50°, intensity 39; d = 2.635 Å, 2θ = 34.02°, intensity 60; d = 2.098 Å, 2θ = 43.12°, intensity 51

Atomic structure:
Lattice parameters (Å, degrees): 6.934 6.934 4.958 98.29 98.29 33.04
Atoms (fractional coordinates):
Rb 0.000 0.000 0.000
As 0.794 0.794 0.391
H 0.134 0.134 0.487
H 0.370 0.370 0.835
Ir 0.255 0.255 0.640
Se 0.700 0.700 0.920



(3)
Structure and computed XRD peak list of Nd6In2Os (a structure optimized by DFT (GGA-PBE); Cu Kα).

Most intense lines, 2θ = 10–90°, low angle first:
d = 4.140 Å, 2θ = 21.46°, intensity 22; d = 3.689 Å, 2θ = 24.13°, intensity 22; d = 2.727 Å, 2θ = 32.85°, intensity 30; d = 2.610 Å, 2θ = 34.36°, intensity 100; d = 2.498 Å, 2θ = 35.95°, intensity 20; d = 1.551 Å, 2θ = 59.62°, intensity 20

Atomic structure:
Lattice parameters (Å, degrees): 8.791 8.791 8.791 143.86 130.26 63.01
Atoms (fractional coordinates):
Nd 0.094 0.349 0.745
Nd 0.222 0.000 0.222
Nd 0.396 0.651 0.745
Nd 0.604 0.349 0.255
Nd 0.778 0.000 0.778
Nd 0.906 0.651 0.255
In 0.332 0.832 0.500
In 0.668 0.168 0.500
Os 0.000 0.500 0.500



(4)
Structure and computed XRD peak list of Y4Er7Mg (a structure optimized by DFT (GGA-PBE); Cu Kα).

Most intense lines, 2θ = 10–90°, low angle first:
d = 2.808 Å, 2θ = 31.87°, intensity 98; d = 2.780 Å, 2θ = 32.20°, intensity 100; d = 1.975 Å, 2θ = 45.94°, intensity 37; d = 1.610 Å, 2θ = 57.21°, intensity 42; d = 1.605 Å, 2θ = 57.41°, intensity 19; d = 1.246 Å, 2θ = 76.47°, intensity 18

Atomic structure:
Lattice parameters (Å, degrees): 5.560 5.560 13.824 90.00 90.00 120.00
Atoms (fractional coordinates):
Y 0.333 0.667 0.180
Y 0.333 0.667 0.427
Y 0.667 0.333 0.573
Y 0.667 0.333 0.820
Er 0.000 0.000 0.236
Er 0.000 0.000 0.500
Er 0.000 0.000 0.764
Er 0.333 0.667 0.675
Er 0.333 0.667 0.924
Er 0.667 0.333 0.076
Er 0.667 0.333 0.325
Mg 0.000 0.000 0.000



What is the formula in the third record? Nd6In2Os